Record 1
Theoretical PXRD pattern
Compound: Ac2Dy8Y3
Radiation: Cu Kα, 1.54184 Å
Structure: a crystal structure in Alexandria, relaxed with GGA-PBE
No peak broadening, texture or thermal motion is included.

Largest 6 diffraction maxima, in order of rising 2θ, 2θ = 10–80°:
d [Å], Position (°2θ), Rel. int.
3.661, 24.31, 14.7
3.125, 28.56, 18.5
3.029, 29.49, 22.6
2.741, 32.66, 100.0
2.725, 32.87, 10.6
1.584, 58.25, 21.0

Structure:
```
13
Lattice="10.8995 -3.8864 0.0000 10.8995 3.8864 0.0000 -0.0017 0.0000 5.4861" Properties=species:S:1:pos:R:3 pbc="T T T"
Ac 5.2178 0.0000 2.7389
Ac 16.5795 0.0000 2.7472
Dy 2.5953 0.0000 5.4851
Dy 8.6526 1.6512 2.7427
Dy 7.5764 0.0000 5.4844
Dy 13.1447 1.6512 2.7433
Dy 8.6526 -1.6512 2.7427
Dy 14.2210 0.0000 0.0017
Dy 13.1447 -1.6512 2.7433
Dy 19.2020 0.0000 0.0010
Y -0.0008 0.0000 2.7430
Y 10.8995 1.6194 0.0000
Y 10.8995 -1.6194 0.0000
```

Record 2
Theoretical PXRD pattern
Compound: Ca2Cu
Radiation: Cu Kα, 1.54184 Å
Structure: a crystal structure in Alexandria, relaxed with GGA-PBE
No peak broadening, texture or thermal motion is included.

Largest 6 diffraction maxima, in order of rising 2θ, 2θ = 10–80°:
d [Å], Position (°2θ), Rel. int.
3.016, 29.62, 69.7
2.770, 32.31, 100.0
2.337, 38.52, 46.5
2.286, 39.41, 48.2
2.260, 39.88, 29.3
1.515, 61.15, 29.9

Structure:
```
9
Lattice="8.0962 0.0000 0.0000 -4.0481 7.0115 0.0000 0.0000 0.0000 4.5208" Properties=species:S:1:pos:R:3 pbc="T T T"
Ca -1.0414 1.8038 0.0000
Ca -2.3969 4.1516 2.2604
Ca 2.0829 0.0000 0.0000
Ca 1.6512 2.8599 2.2604
Ca 4.7939 0.0000 2.2604
Ca 3.0067 5.2077 0.0000
Cu 0.0000 0.0000 2.2604
Cu 0.0000 4.6744 0.0000
Cu 4.0481 2.3372 0.0000
```

Record 3
Theoretical PXRD pattern
Compound: Pr2Ga5Ni3
Radiation: Cu Kα, 1.54184 Å
Structure: a crystal structure in Alexandria, relaxed with GGA-PBE
No peak broadening, texture or thermal motion is included.

Largest 6 diffraction maxima, in order of rising 2θ, 2θ = 10–80°:
d [Å], Position (°2θ), Rel. int.
2.642, 33.93, 76.3
2.623, 34.18, 100.0
2.476, 36.29, 86.0
2.266, 39.78, 25.7
2.095, 43.18, 82.3
1.595, 57.80, 21.5

Structure:
```
20
Lattice="-5.0430 6.2035 2.8415 5.0430 -6.2035 2.8415 5.0430 6.2035 -2.8415" Properties=species:S:1:pos:R:3 pbc="T T T"
Pr 2.2706 1.7068 0.0000
Pr 2.2706 -1.7068 2.8415
Pr 2.7724 7.9103 0.0000
Pr 2.7724 4.4967 2.8415
Ga 5.0430 -2.6744 1.4208
Ga 6.6897 1.1640 0.0000
Ga 0.0000 0.0000 1.4208
Ga 1.6467 5.0395 0.0000
Ga 5.0430 2.6744 1.4208
Ga 0.0000 3.5291 1.4208
Ga 3.3963 1.1640 2.8415
Ga 0.0000 0.0000 4.2623
Ga -1.6467 5.0395 2.8415
Ga 0.0000 8.8780 1.4208
Ni 4.0489 -4.4555 2.8415
Ni 5.0430 0.0000 1.4208
Ni 4.0489 4.4555 0.0000
Ni 0.9941 1.7481 2.8415
Ni 0.0000 6.2035 1.4208
Ni 0.9941 10.6590 0.0000
```